(1)
The following is a simulated PXRD pattern of Tm2Lu5Ni2Te2. It was derived from a cell relaxed with GGA-PBE, using Cu Kα (weighted mean of Kα1 and Kα2).
Intensities are scaled so that the largest is 100.

```
data_Tm2Lu5Ni2Te2
_symmetry_space_group_name_H-M 'I m m 2'
_symmetry_Int_Tables_number 44
_symmetry_space_group_name_Hall 'I 2 -2'
_cell_length_a 3.8003
_cell_length_b 15.2428
_cell_length_c 9.4073
_cell_angle_alpha 90.00
_cell_angle_beta 90.00
_cell_angle_gamma 90.00
loop_
_atom_site_label
_atom_site_type_symbol
_atom_site_fract_x
_atom_site_fract_y
_atom_site_fract_z
Tm1 Tm 0.0000 0.1466 0.0000
Lu1 Lu 0.0000 0.1853 0.3522
Lu2 Lu 0.0000 0.3650 0.1467
Lu3 Lu 0.0000 0.5000 0.7285
Ni1 Ni 0.0000 0.2635 0.6599
Te1 Te 0.0000 0.0000 0.4956
Te2 Te 0.0000 0.5000 0.3896
```

Top 8 peaks for 2θ = 5–70°, most intense first:
2θ 34.67, intensity 100, (1 4 1)
2θ 33.58, intensity 83, (0 3 3)
2θ 30.82, intensity 76, (1 1 2)
2θ 35.12, intensity 54, (1 3 2)
2θ 59.75, intensity 37, (2 3 3)
2θ 47.87, intensity 30, (2 0 0)
2θ 52.19, intensity 27, (1 7 2)
2θ 35.33, intensity 25, (0 6 0)

(2)
The following is a simulated PXRD pattern of Tm3Lu4Ni2Te2. It was derived from a cell relaxed with GGA-PBE, using Cu Kα (weighted mean of Kα1 and Kα2).
Intensities are scaled so that the largest is 100.

```
data_Tm3Lu4Ni2Te2
_symmetry_space_group_name_H-M 'I m m 2'
_symmetry_Int_Tables_number 44
_symmetry_space_group_name_Hall 'I 2 -2'
_cell_length_a 3.8007
_cell_length_b 15.2828
_cell_length_c 9.4182
_cell_angle_alpha 90.00
_cell_angle_beta 90.00
_cell_angle_gamma 90.00
loop_
_atom_site_label
_atom_site_type_symbol
_atom_site_fract_x
_atom_site_fract_y
_atom_site_fract_z
Tm1 Tm 0.0000 0.0000 0.0000
Tm2 Tm 0.0000 0.3533 0.2704
Lu1 Lu 0.0000 0.1350 0.4178
Lu2 Lu 0.0000 0.3153 0.6236
Ni1 Ni 0.0000 0.2373 0.9308
Te1 Te 0.0000 0.0000 0.6593
Te2 Te 0.0000 0.5000 0.7674
```

Top 8 peaks for 2θ = 5–70°, most intense first:
2θ 34.62, intensity 100, (1 4 1)
2θ 33.53, intensity 84, (0 3 3)
2θ 30.78, intensity 75, (1 1 2)
2θ 35.08, intensity 56, (1 3 2)
2θ 59.69, intensity 38, (2 3 3)
2θ 47.87, intensity 30, (2 0 0)
2θ 52.09, intensity 27, (1 7 2)
2θ 35.24, intensity 25, (0 6 0)

(3)
The following is a simulated PXRD pattern of Tm6LuNi2Te2. It was derived from a cell relaxed with GGA-PBE, using Cu Kα (weighted mean of Kα1 and Kα2).
Intensities are scaled so that the largest is 100.

```
data_Tm6LuNi2Te2
_symmetry_space_group_name_H-M 'I m m 2'
_symmetry_Int_Tables_number 44
_symmetry_space_group_name_Hall 'I 2 -2'
_cell_length_a 3.8154
_cell_length_b 15.3288
_cell_length_c 9.4430
_cell_angle_alpha 90.00
_cell_angle_beta 90.00
_cell_angle_gamma 90.00
loop_
_atom_site_label
_atom_site_type_symbol
_atom_site_fract_x
_atom_site_fract_y
_atom_site_fract_z
Tm1 Tm 0.0000 0.1347 0.0000
Tm2 Tm 0.0000 0.3146 0.7945
Tm3 Tm 0.0000 0.3536 0.1468
Lu1 Lu 0.0000 0.0000 0.4183
Ni1 Ni 0.0000 0.2362 0.4869
Te1 Te 0.0000 0.0000 0.7567
Te2 Te 0.0000 0.5000 0.6512
```

Top 8 peaks for 2θ = 5–70°, most intense first:
2θ 34.50, intensity 100, (1 4 1)
2θ 33.44, intensity 81, (0 3 3)
2θ 30.68, intensity 76, (1 1 2)
2θ 34.97, intensity 52, (1 3 2)
2θ 59.47, intensity 37, (2 3 3)
2θ 47.67, intensity 29, (2 0 0)
2θ 51.91, intensity 27, (1 7 2)
2θ 35.13, intensity 25, (0 6 0)

(4)
The following is a simulated PXRD pattern of TmLu6Ni2Te2. It was derived from a cell relaxed with GGA-PBE, using Cu Kα (weighted mean of Kα1 and Kα2).
Intensities are scaled so that the largest is 100.

```
data_TmLu6Ni2Te2
_symmetry_space_group_name_H-M 'I m m 2'
_symmetry_Int_Tables_number 44
_symmetry_space_group_name_Hall 'I 2 -2'
_cell_length_a 3.7941
_cell_length_b 15.2099
_cell_length_c 9.3908
_cell_angle_alpha 90.00
_cell_angle_beta 90.00
_cell_angle_gamma 90.00
loop_
_atom_site_label
_atom_site_type_symbol
_atom_site_fract_x
_atom_site_fract_y
_atom_site_fract_z
Tm1 Tm 0.0000 0.0000 0.0000
Lu1 Lu 0.0000 0.1351 0.5816
Lu2 Lu 0.0000 0.3145 0.3762
Lu3 Lu 0.0000 0.3532 0.7282
Ni1 Ni 0.0000 0.2364 0.0689
Te1 Te 0.0000 0.0000 0.3387
Te2 Te 0.0000 0.5000 0.2326
```

Top 8 peaks for 2θ = 5–70°, most intense first:
2θ 34.74, intensity 100, (1 4 1)
2θ 33.65, intensity 83, (0 3 3)
2θ 30.87, intensity 75, (1 1 2)
2θ 35.19, intensity 54, (1 3 2)
2θ 59.86, intensity 37, (2 3 3)
2θ 47.95, intensity 30, (2 0 0)
2θ 52.30, intensity 27, (1 7 2)
2θ 35.41, intensity 25, (0 6 0)

Copy entry 3 word for word.
The following is a simulated PXRD pattern of Tm6LuNi2Te2. It was derived from a cell relaxed with GGA-PBE, using Cu Kα (weighted mean of Kα1 and Kα2).
Intensities are scaled so that the largest is 100.

```
data_Tm6LuNi2Te2
_symmetry_space_group_name_H-M 'I m m 2'
_symmetry_Int_Tables_number 44
_symmetry_space_group_name_Hall 'I 2 -2'
_cell_length_a 3.8154
_cell_length_b 15.3288
_cell_length_c 9.4430
_cell_angle_alpha 90.00
_cell_angle_beta 90.00
_cell_angle_gamma 90.00
loop_
_atom_site_label
_atom_site_type_symbol
_atom_site_fract_x
_atom_site_fract_y
_atom_site_fract_z
Tm1 Tm 0.0000 0.1347 0.0000
Tm2 Tm 0.0000 0.3146 0.7945
Tm3 Tm 0.0000 0.3536 0.1468
Lu1 Lu 0.0000 0.0000 0.4183
Ni1 Ni 0.0000 0.2362 0.4869
Te1 Te 0.0000 0.0000 0.7567
Te2 Te 0.0000 0.5000 0.6512
```

Top 8 peaks for 2θ = 5–70°, most intense first:
2θ 34.50, intensity 100, (1 4 1)
2θ 33.44, intensity 81, (0 3 3)
2θ 30.68, intensity 76, (1 1 2)
2θ 34.97, intensity 52, (1 3 2)
2θ 59.47, intensity 37, (2 3 3)
2θ 47.67, intensity 29, (2 0 0)
2θ 51.91, intensity 27, (1 7 2)
2θ 35.13, intensity 25, (0 6 0)

Question: What is the formula in the first record?
Answer: Tm2Lu5Ni2Te2